Simulated X-ray diffraction stick pattern of Sc2Zn2Pb3 for λ = 1.5418 Å (Cu Kα), from a structure optimized by DFT (PBE).

Atomic structure:
```
data_Sc2Zn2Pb3
_symmetry_space_group_name_H-M 'P 1'
_symmetry_Int_Tables_number 1
_cell_length_a 9.1009
_cell_length_b 9.1009
_cell_length_c 9.1009
_cell_angle_alpha 30.49
_cell_angle_beta 30.49
_cell_angle_gamma 30.49
loop_
_symmetry_equiv_pos_as_xyz
'x,y,z'
loop_
_atom_site_label
_atom_site_type_symbol
_atom_site_fract_x
_atom_site_fract_y
_atom_site_fract_z
Sc1 Sc 0.0000 0.0000 0.0000
Sc2 Sc 0.4183 0.4183 0.4183
Zn1 Zn 0.1092 0.1092 0.1092
Zn2 Zn 0.7075 0.7075 0.7075
Pb1 Pb 0.2946 0.2946 0.2946
Pb2 Pb 0.5626 0.5626 0.5626
Pb3 Pb 0.8245 0.8245 0.8245
```

Main lines, in order of rising 2θ (2θ = 15–90°):
two_theta, I_rel
25.5, 97.0
32.4, 87.3
35.1, 37.3
37.6, 100.0
44.1, 27.7
46.0, 21.1
50.4, 25.1
60.8, 18.9
64.6, 24.4
66.6, 21.6
67.8, 17.7
72.4, 13.3

Simulated X-ray diffraction stick pattern of TmSnPbSe3 for λ = 1.5418 Å (Cu Kα), from a structure optimized by DFT (PBE).

Atomic structure:
```
data_TmSnPbSe3
_symmetry_space_group_name_H-M 'P 1'
_symmetry_Int_Tables_number 1
_cell_length_a 9.0941
_cell_length_b 9.0941
_cell_length_c 10.1010
_cell_angle_alpha 108.27
_cell_angle_beta 108.27
_cell_angle_gamma 25.64
loop_
_symmetry_equiv_pos_as_xyz
'x,y,z'
loop_
_atom_site_label
_atom_site_type_symbol
_atom_site_fract_x
_atom_site_fract_y
_atom_site_fract_z
Tm1 Tm 0.1783 0.1783 0.0884
Tm2 Tm 0.8217 0.8217 0.9116
Sn1 Sn 0.4852 0.4852 0.7775
Sn2 Sn 0.5148 0.5148 0.2225
Pb1 Pb 0.1282 0.1282 0.4949
Pb2 Pb 0.8718 0.8718 0.5051
Se1 Se 0.0000 0.0000 0.0000
Se2 Se 0.3033 0.3033 0.7026
Se3 Se 0.3397 0.3397 0.1134
Se4 Se 0.5000 0.5000 0.5000
Se5 Se 0.6603 0.6603 0.8866
Se6 Se 0.6967 0.6967 0.2974
```

Main lines, in order of rising 2θ (2θ = 15–90°):
two_theta, I_rel
16.1, 18.4
18.6, 17.1
23.3, 24.1
27.2, 31.3
28.3, 100.0
30.3, 17.8
32.0, 28.4
35.4, 18.0
37.7, 17.7
38.3, 33.6
42.7, 21.6
44.9, 38.8

Simulated X-ray diffraction stick pattern of Zr5Pb3Se for λ = 1.5418 Å (Cu Kα), from a structure optimized by DFT (PBE).

Atomic structure:
```
data_Zr5Pb3Se
_symmetry_space_group_name_H-M 'P 1'
_symmetry_Int_Tables_number 1
_cell_length_a 8.7475
_cell_length_b 8.7475
_cell_length_c 6.1306
_cell_angle_alpha 90.00
_cell_angle_beta 90.00
_cell_angle_gamma 120.00
loop_
_symmetry_equiv_pos_as_xyz
'x,y,z'
loop_
_atom_site_label
_atom_site_type_symbol
_atom_site_fract_x
_atom_site_fract_y
_atom_site_fract_z
Zr1 Zr 0.0000 0.2608 0.2500
Zr2 Zr 0.0000 0.7392 0.7500
Zr3 Zr 0.2608 0.0000 0.2500
Zr4 Zr 0.2608 0.2608 0.7500
Zr5 Zr 0.3333 0.6667 0.0000
Zr6 Zr 0.3333 0.6667 0.5000
Zr7 Zr 0.6667 0.3333 0.0000
Zr8 Zr 0.6667 0.3333 0.5000
Zr9 Zr 0.7392 0.0000 0.7500
Zr10 Zr 0.7392 0.7392 0.2500
Pb1 Pb 0.0000 0.3948 0.7500
Pb2 Pb 0.0000 0.6052 0.2500
Pb3 Pb 0.3948 0.0000 0.7500
Pb4 Pb 0.3948 0.3948 0.2500
Pb5 Pb 0.6052 0.0000 0.2500
Pb6 Pb 0.6052 0.6052 0.7500
Se1 Se 0.0000 0.0000 0.0000
Se2 Se 0.0000 0.0000 0.5000
```

Main lines, in order of rising 2θ (2θ = 15–90°):
two_theta, I_rel
25.0, 36.1
29.1, 27.0
34.6, 98.8
35.6, 71.9
35.8, 100.0
45.6, 46.7
51.3, 16.3
55.2, 25.9
63.5, 17.8
67.1, 19.6
69.2, 15.7
72.1, 18.3

Please write out number 1 again, unchanged.
Simulated X-ray diffraction stick pattern of Sc2Zn2Pb3 for λ = 1.5418 Å (Cu Kα), from a structure optimized by DFT (PBE).

Atomic structure:
```
data_Sc2Zn2Pb3
_symmetry_space_group_name_H-M 'P 1'
_symmetry_Int_Tables_number 1
_cell_length_a 9.1009
_cell_length_b 9.1009
_cell_length_c 9.1009
_cell_angle_alpha 30.49
_cell_angle_beta 30.49
_cell_angle_gamma 30.49
loop_
_symmetry_equiv_pos_as_xyz
'x,y,z'
loop_
_atom_site_label
_atom_site_type_symbol
_atom_site_fract_x
_atom_site_fract_y
_atom_site_fract_z
Sc1 Sc 0.0000 0.0000 0.0000
Sc2 Sc 0.4183 0.4183 0.4183
Zn1 Zn 0.1092 0.1092 0.1092
Zn2 Zn 0.7075 0.7075 0.7075
Pb1 Pb 0.2946 0.2946 0.2946
Pb2 Pb 0.5626 0.5626 0.5626
Pb3 Pb 0.8245 0.8245 0.8245
```

Main lines, in order of rising 2θ (2θ = 15–90°):
two_theta, I_rel
25.5, 97.0
32.4, 87.3
35.1, 37.3
37.6, 100.0
44.1, 27.7
46.0, 21.1
50.4, 25.1
60.8, 18.9
64.6, 24.4
66.6, 21.6
67.8, 17.7
72.4, 13.3

Repeat the first record exactly.
Simulated X-ray diffraction stick pattern of Sc2Zn2Pb3 for λ = 1.5418 Å (Cu Kα), from a structure optimized by DFT (PBE).

Atomic structure:
```
data_Sc2Zn2Pb3
_symmetry_space_group_name_H-M 'P 1'
_symmetry_Int_Tables_number 1
_cell_length_a 9.1009
_cell_length_b 9.1009
_cell_length_c 9.1009
_cell_angle_alpha 30.49
_cell_angle_beta 30.49
_cell_angle_gamma 30.49
loop_
_symmetry_equiv_pos_as_xyz
'x,y,z'
loop_
_atom_site_label
_atom_site_type_symbol
_atom_site_fract_x
_atom_site_fract_y
_atom_site_fract_z
Sc1 Sc 0.0000 0.0000 0.0000
Sc2 Sc 0.4183 0.4183 0.4183
Zn1 Zn 0.1092 0.1092 0.1092
Zn2 Zn 0.7075 0.7075 0.7075
Pb1 Pb 0.2946 0.2946 0.2946
Pb2 Pb 0.5626 0.5626 0.5626
Pb3 Pb 0.8245 0.8245 0.8245
```

Main lines, in order of rising 2θ (2θ = 15–90°):
two_theta, I_rel
25.5, 97.0
32.4, 87.3
35.1, 37.3
37.6, 100.0
44.1, 27.7
46.0, 21.1
50.4, 25.1
60.8, 18.9
64.6, 24.4
66.6, 21.6
67.8, 17.7
72.4, 13.3

Question: What is the formula in the second record?
Answer: TmSnPbSe3